Er4TmTh: simulated powder diffractogram (Cu Kα), based on a crystal structure in Alexandria, relaxed with PBE.
Lines closer than 0.1° are merged.

Crystal structure
```
Er4TmTh
1.0
1.776 -9.148 0.000
1.776 9.148 0.000
0.000 0.000 11.356
Er Tm Th
8 2 2
direct
0.002 0.998 0.500
0.113 0.887 0.252
0.331 0.669 0.496
0.444 0.556 0.247
0.556 0.444 0.747
0.669 0.331 0.996
0.887 0.113 0.752
0.998 0.002 0.000
0.222 0.778 0.746
0.778 0.222 0.246
0.334 0.666 0.999
0.666 0.334 0.499
```

Most intense lines, 15 to 90 degrees two-theta, sorted by position:
- 30.16 deg, 2.963 Å, I 36
- 31.51 deg, 2.839 Å, I 48
- 33.18 deg, 2.700 Å, I 100
- 33.35 deg, 2.686 Å, I 47
- 51.82 deg, 1.764 Å, I 24
- 61.92 deg, 1.499 Å, I 28